# YGa3Ni2
Simulated powder diffraction line list, copper Kα. Input: a DFT-relaxed cell (GGA-PBE, the Materials Project).
Neutral-atom scattering factors, no anomalous dispersion.

Principal peaks in the range 2θ from 5° to 70°, sorted by position:
| two_theta | I (rel.) |
| --- | --- |
| 32.27 | 42.0 |
| 33.15 | 26.4 |
| 37.70 | 76.3 |
| 38.46 | 77.5 |
| 40.97 | 100.0 |
| 45.50 | 82.5 |
| 47.82 | 46.7 |
| 62.24 | 21.9 |
| 62.97 | 35.3 |
| 69.57 | 18.2 |

```
18
Lattice="4.679 -8.111 0.000 4.679 8.111 0.000 0.000 0.000 3.804" Properties=species:S:1:pos:R:3 pbc="T T T"
Y 0.000 0.000 0.000
Y 4.679 2.708 1.902
Y 4.679 -2.708 1.902
Ga 2.339 4.055 0.000
Ga 2.587 1.492 0.000
Ga 4.679 5.122 0.000
Ga 2.587 -1.492 0.000
Ga 2.339 -4.055 0.000
Ga 4.679 0.000 0.000
Ga 6.771 1.492 0.000
Ga 4.679 -5.122 0.000
Ga 6.771 -1.492 0.000
Ni 1.348 2.332 1.902
Ni 8.010 -2.332 1.902
Ni 1.348 -2.332 1.902
Ni 2.706 0.000 1.902
Ni 6.652 0.000 1.902
Ni 8.010 2.332 1.902
```